RbLiIrO4: computed PXRD pattern (Cu Kα X-rays), based on a DFT-relaxed cell (GGA-PBE, OQMD).
Intensities are scaled so that the largest is 100.

Largest 10 diffraction maxima, by intensity, 10 to 90 degrees two-theta:
index	d_spacing	I/Imax
1 1 1	3.827	100
2 0 -2	4.048	60
1 1 -3	2.760	46
3 1 -1	2.802	42
1 1 -1	4.539	32
2 2 -2	2.269	27
0 2 0	2.741	22
2 0 2	2.672	21
6 0 -2	1.629	16
0 0 2	4.418	15

Structure:
```
data_RbLiIrO4
_symmetry_space_group_name_H-M 'C 1 c 1'
_symmetry_Int_Tables_number 9
_symmetry_space_group_name_Hall 'C -2yc'
_cell_length_a 9.796
_cell_length_b 5.481
_cell_length_c 9.609
_cell_angle_alpha 90.00
_cell_angle_beta 113.15
_cell_angle_gamma 90.00
loop_
_atom_site_label
_atom_site_fract_x
_atom_site_fract_y
_atom_site_fract_z
Rb1 0.000 0.238 0.000
Li1 0.377 0.296 0.127
Ir1 0.254 0.253 0.752
O1 0.063 0.285 0.620
O2 0.249 0.385 0.923
O3 0.292 0.057 0.208
O4 0.417 0.408 0.747
```

Li4SiIrO6: computed PXRD pattern (Cu Kα X-rays), based on a DFT-relaxed cell (GGA-PBE, OQMD).
Intensities are scaled so that the largest is 100.

Largest 10 diffraction maxima, by intensity, 10 to 90 degrees two-theta:
index	d_spacing	I/Imax
0 0 1	4.670	100
1 1 0	4.128	82
1 1 -1	3.693	63
0 2 0	4.321	46
1 3 1	2.029	45
0 2 1	3.172	45
1 1 -2	2.357	35
1 3 0	2.456	31
1 1 1	2.714	30
2 0 -2	2.042	23

Structure:
```
data_Li4SiIrO6
_symmetry_space_group_name_H-M 'C 1 2 1'
_symmetry_Int_Tables_number 5
_symmetry_space_group_name_Hall 'C 2y'
_cell_length_a 5.001
_cell_length_b 8.642
_cell_length_c 4.970
_cell_angle_alpha 90.00
_cell_angle_beta 110.01
_cell_angle_gamma 90.00
loop_
_atom_site_label
_atom_site_fract_x
_atom_site_fract_y
_atom_site_fract_z
Li1 0.000 0.000 0.000
Li2 0.000 0.161 0.500
Li3 0.000 0.498 0.500
Li4 0.000 0.838 0.500
Si1 0.000 0.332 0.000
Ir1 0.000 0.667 0.000
O1 0.220 0.484 0.225
O2 0.224 0.330 0.781
O3 0.229 0.185 0.225
```

Sr3LiIrO6: computed PXRD pattern (Cu Kα X-rays), based on a DFT-relaxed cell (GGA-PBE, OQMD).
Intensities are scaled so that the largest is 100.

Largest 10 diffraction maxima, by intensity, 10 to 90 degrees two-theta:
index	d_spacing	I/Imax
0 1 2	4.618	100
3 0 0	2.778	92
1 1 3	2.932	52
3 1 2	2.133	36
2 2 3	2.016	33
1 2 2	2.739	28
2 1 4	2.082	27
1 1 6	1.726	26
0 2 4	2.309	20
3 2 4	1.574	20

Structure:
```
data_Sr3LiIrO6
_symmetry_space_group_name_H-M 'R -3 c'
_symmetry_Int_Tables_number 167
_symmetry_space_group_name_Hall '-R 3 2"c'
_cell_length_a 9.6217
_cell_length_b 9.6217
_cell_length_c 11.0960
_cell_angle_alpha 90.00
_cell_angle_beta 90.00
_cell_angle_gamma 120.00
loop_
_atom_site_label
_atom_site_fract_x
_atom_site_fract_y
_atom_site_fract_z
Sr1 0.0000 0.3606 0.2500
Li1 0.0000 0.0000 0.2500
Ir1 0.0000 0.0000 0.0000
O1 0.0219 0.1759 0.3924
```

Li4TeIrO6: computed PXRD pattern (Cu Kα X-rays), based on a DFT-relaxed cell (GGA-PBE, OQMD).
Intensities are scaled so that the largest is 100.

Largest 10 diffraction maxima, by intensity, 10 to 90 degrees two-theta:
index	d_spacing	I/Imax
0 0 1	4.845	100
1 3 1	2.139	75
2 0 -1	2.604	60
1 1 0	4.376	45
1 1 -1	3.873	33
2 0 0	2.487	32
0 2 0	4.581	25
0 2 1	3.329	22
3 3 -1	1.528	22
1 3 -2	1.955	17

Structure:
```
data_Li4TeIrO6
_symmetry_space_group_name_H-M 'C 1 2 1'
_symmetry_Int_Tables_number 5
_symmetry_space_group_name_Hall 'C 2y'
_cell_length_a 5.296
_cell_length_b 9.163
_cell_length_c 5.151
_cell_angle_alpha 90.00
_cell_angle_beta 109.86
_cell_angle_gamma 90.00
loop_
_atom_site_label
_atom_site_fract_x
_atom_site_fract_y
_atom_site_fract_z
Li1 0.000 0.000 0.000
Li2 0.000 0.156 0.500
Li3 0.000 0.515 0.500
Li4 0.000 0.837 0.500
Te1 0.000 0.335 0.000
Ir1 0.000 0.667 0.000
O1 0.239 0.503 0.246
O2 0.247 0.672 0.762
O3 0.248 0.827 0.240
```

LiP5Ir3: computed PXRD pattern (Cu Kα X-rays), based on a DFT-relaxed cell (GGA-PBE, OQMD).
Intensities are scaled so that the largest is 100.

Largest 10 diffraction maxima, by intensity, 10 to 90 degrees two-theta:
index	d_spacing	I/Imax
0 0 1	6.962	100
2 0 1	2.250	38
2 0 2	1.963	32
2 0 0	2.377	19
1 0 0	4.754	17
2 0 3	1.661	15
0 0 2	3.481	13
1 0 1	3.926	12
0 0 3	2.321	7
2 2 1	1.346	7

Structure:
```
data_LiP5Ir3
_symmetry_space_group_name_H-M 'P 6/m m m'
_symmetry_Int_Tables_number 191
_symmetry_space_group_name_Hall '-P 6 2'
_cell_length_a 5.4896
_cell_length_b 5.4896
_cell_length_c 6.9621
_cell_angle_alpha 90.00
_cell_angle_beta 90.00
_cell_angle_gamma 120.00
loop_
_atom_site_label
_atom_site_fract_x
_atom_site_fract_y
_atom_site_fract_z
Li1 0.0000 0.0000 0.0000
P1 0.0000 0.0000 0.5000
P2 0.3333 0.6667 0.2412
Ir1 0.0000 0.5000 0.5000
```

Li4Sn2IrPt: computed PXRD pattern (Cu Kα X-rays), based on a DFT-relaxed cell (GGA-PBE, OQMD).
Intensities are scaled so that the largest is 100.

Largest 10 diffraction maxima, by intensity, 10 to 90 degrees two-theta:
index	d_spacing	I/Imax
1 0 1	3.633	100
2 0 0	2.225	88
2 1 1	1.898	51
3 1 2	1.285	31
3 0 1	1.444	21
3 2 1	1.211	16
2 2 0	1.573	15
4 0 0	1.113	10
0 0 2	3.147	5
1 1 4	1.407	2

Structure:
```
data_Li4Sn2IrPt
_symmetry_space_group_name_H-M 'P -4 m 2'
_symmetry_Int_Tables_number 115
_symmetry_space_group_name_Hall 'P -4 -2'
_cell_length_a 4.452
_cell_length_b 4.452
_cell_length_c 6.289
_cell_angle_alpha 90.00
_cell_angle_beta 90.00
_cell_angle_gamma 90.00
loop_
_atom_site_label
_atom_site_fract_x
_atom_site_fract_y
_atom_site_fract_z
Li1 0.000 0.000 0.000
Li2 0.000 0.500 0.249
Li3 0.500 0.500 0.500
Sn1 0.000 0.500 0.743
Ir1 0.000 0.000 0.500
Pt1 0.500 0.500 0.000
```

Li2Ir2Se3S: computed PXRD pattern (Cu Kα X-rays), based on a DFT-relaxed cell (GGA-PBE, OQMD).
Intensities are scaled so that the largest is 100.

Largest 10 diffraction maxima, by intensity, 10 to 90 degrees two-theta:
index	d_spacing	I/Imax
2 0 -1	5.085	100
1 1 1	3.229	58
3 1 -1	3.177	54
2 2 -2	2.118	33
0 0 1	5.185	24
4 2 0	1.891	24
0 2 1	2.580	23
1 3 1	1.762	19
2 0 2	1.921	13
6 0 -2	1.878	12

Structure:
```
data_Li2Ir2Se3S
_symmetry_space_group_name_H-M 'C 1 2 1'
_symmetry_Int_Tables_number 5
_symmetry_space_group_name_Hall 'C 2y'
_cell_length_a 11.376
_cell_length_b 5.956
_cell_length_c 6.027
_cell_angle_alpha 90.00
_cell_angle_beta 120.65
_cell_angle_gamma 90.00
loop_
_atom_site_label
_atom_site_fract_x
_atom_site_fract_y
_atom_site_fract_z
Li1 0.118 0.000 0.356
Ir1 0.116 0.481 0.876
Se1 0.000 0.713 0.500
Se2 0.249 0.234 0.776
S1 0.000 0.264 0.000
```

LiZn2Si2Ir3: computed PXRD pattern (Cu Kα X-rays), based on a DFT-relaxed cell (GGA-PBE, OQMD).
Intensities are scaled so that the largest is 100.

Largest 10 diffraction maxima, by intensity, 10 to 90 degrees two-theta:
index	d_spacing	I/Imax
1 1 0	2.052	100
0 1 2	2.630	92
1 0 3	2.102	91
0 1 1	3.235	86
1 0 0	3.554	41
2 1 3	1.194	29
0 2 3	1.468	29
2 0 2	1.618	22
1 1 5	1.244	20
1 2 2	1.270	19

Structure:
```
data_LiZn2Si2Ir3
_symmetry_space_group_name_H-M 'P 3 m 1'
_symmetry_Int_Tables_number 156
_symmetry_space_group_name_Hall 'P 3 -2"'
_cell_length_a 4.1034
_cell_length_b 4.1034
_cell_length_c 7.8191
_cell_angle_alpha 90.00
_cell_angle_beta 90.00
_cell_angle_gamma 120.00
loop_
_atom_site_label
_atom_site_fract_x
_atom_site_fract_y
_atom_site_fract_z
Li1 0.0000 0.0000 0.0000
Zn1 0.6667 0.3333 0.1381
Zn2 0.6667 0.3333 0.7933
Si1 0.0000 0.0000 0.6422
Si2 0.3333 0.6667 0.2696
Ir1 0.0000 0.0000 0.3444
Ir2 0.3333 0.6667 0.5827
Ir3 0.3333 0.6667 0.9614
```